# 1
# AcCd4Rh2
Calculated powder diffractogram, copper Kα. Input: a structure optimized by DFT (GGA-PBE).
Lines closer than 0.1° are merged.

Crystal structure
```
data_AcCd4Rh2
_chemical_formula_sum 'Ac2 Cd8 Rh4'
_space_group_name_H-M_alt 'P 1'
_space_group_IT_number 1
_space_group_name_Hall 'P 1'
_cell_length_a 8.6163
_cell_length_b 8.6163
_cell_length_c 4.1761
_cell_angle_alpha 90.00
_cell_angle_beta 90.00
_cell_angle_gamma 90.00
loop_
_atom_site_label
_atom_site_fract_x
_atom_site_fract_y
_atom_site_fract_z
_atom_site_occupancy
Ac1 0.0000 0.0000 0.0000 1
Ac2 0.5000 0.5000 0.5000 1
Cd1 0.0983 0.3424 0.5000 1
Cd2 0.1576 0.5983 0.0000 1
Cd3 0.3424 0.0983 0.5000 1
Cd4 0.4017 0.8424 0.0000 1
Cd5 0.5983 0.1576 0.0000 1
Cd6 0.6576 0.9017 0.5000 1
Cd7 0.8424 0.4017 0.0000 1
Cd8 0.9017 0.6576 0.5000 1
Rh1 0.1858 0.8142 0.5000 1
Rh2 0.3142 0.3142 0.0000 1
Rh3 0.6858 0.6858 0.0000 1
Rh4 0.8142 0.1858 0.5000 1
```

The 10 most intense peaks (10 to 80 degrees two-theta), in order of rising 2θ:
2θ (°)	I_rel
29.3	13
31.6	100
32.9	38
36.5	57
39.5	27
43.3	49
55.4	17
57.9	19
62.9	15
77.8	18

# 2
# Ac6CdRh3
Calculated powder diffractogram, copper Kα. Input: a structure optimized by DFT (GGA-PBE).
Lines closer than 0.1° are merged.

Crystal structure
```
data_Ac6CdRh3
_chemical_formula_sum 'Ac12 Cd2 Rh6'
_space_group_name_H-M_alt 'P 1'
_space_group_IT_number 1
_space_group_name_Hall 'P 1'
_cell_length_a 12.8960
_cell_length_b 4.3864
_cell_length_c 12.9111
_cell_angle_alpha 90.00
_cell_angle_beta 109.44
_cell_angle_gamma 90.00
loop_
_atom_site_label
_atom_site_fract_x
_atom_site_fract_y
_atom_site_fract_z
_atom_site_occupancy
Ac1 0.0326 0.2500 0.3561 1
Ac2 0.1102 0.7500 0.9676 1
Ac3 0.2442 0.2500 0.7925 1
Ac4 0.2595 0.7500 0.2864 1
Ac5 0.4127 0.2500 0.5719 1
Ac6 0.4451 0.2500 0.1107 1
Ac7 0.5549 0.7500 0.8893 1
Ac8 0.5873 0.7500 0.4281 1
Ac9 0.7405 0.2500 0.7136 1
Ac10 0.7558 0.7500 0.2075 1
Ac11 0.8898 0.2500 0.0324 1
Ac12 0.9674 0.7500 0.6439 1
Cd1 0.1983 0.7500 0.5536 1
Cd2 0.8017 0.2500 0.4464 1
Rh1 0.0070 0.2500 0.8124 1
Rh2 0.3383 0.7500 0.9516 1
Rh3 0.4202 0.2500 0.3428 1
Rh4 0.5798 0.7500 0.6572 1
Rh5 0.6617 0.2500 0.0484 1
Rh6 0.9930 0.7500 0.1876 1
```

The 10 most intense peaks (10 to 80 degrees two-theta), in order of rising 2θ:
2θ (°)	I_rel
24.7	41
27.5	75
28.1	100
29.1	39
30.0	60
32.7	27
35.9	30
36.7	32
41.2	42
50.6	28

# 3
# AcCd8Rh4
Calculated powder diffractogram, copper Kα. Input: a structure optimized by DFT (GGA-PBE).
Lines closer than 0.1° are merged.

Crystal structure
```
data_AcCd8Rh4
_chemical_formula_sum 'Ac1 Cd8 Rh4'
_space_group_name_H-M_alt 'P 1'
_space_group_IT_number 1
_space_group_name_Hall 'P 1'
_cell_length_a 7.3202
_cell_length_b 7.3202
_cell_length_c 7.3202
_cell_angle_alpha 99.28
_cell_angle_beta 99.28
_cell_angle_gamma 132.65
loop_
_atom_site_label
_atom_site_fract_x
_atom_site_fract_y
_atom_site_fract_z
_atom_site_occupancy
Ac1 0.0000 0.0000 0.0000 1
Cd1 0.0000 0.3403 0.3403 1
Cd2 0.0000 0.6597 0.6597 1
Cd3 0.2747 0.5000 0.7747 1
Cd4 0.3403 0.0000 0.3403 1
Cd5 0.5000 0.2747 0.7747 1
Cd6 0.5000 0.7253 0.2253 1
Cd7 0.6597 0.0000 0.6597 1
Cd8 0.7253 0.5000 0.2253 1
Rh1 0.0000 0.0000 0.5000 1
Rh2 0.0000 0.5000 0.0000 1
Rh3 0.5000 0.0000 0.0000 1
Rh4 0.5000 0.5000 0.5000 1
```

The 10 most intense peaks (10 to 80 degrees two-theta), in order of rising 2θ:
2θ (°)	I_rel
25.9	19
30.4	25
32.2	51
36.0	77
37.5	100
38.0	69
40.8	60
58.8	29
67.3	27
68.2	30

# 4
# Ac4CdRh2
Calculated powder diffractogram, copper Kα. Input: a structure optimized by DFT (GGA-PBE).
Lines closer than 0.1° are merged.

Crystal structure
```
data_Ac4CdRh2
_chemical_formula_sum 'Ac8 Cd2 Rh4'
_space_group_name_H-M_alt 'P 1'
_space_group_IT_number 1
_space_group_name_Hall 'P 1'
_cell_length_a 8.7398
_cell_length_b 7.9921
_cell_length_c 9.7941
_cell_angle_alpha 57.80
_cell_angle_beta 50.70
_cell_angle_gamma 71.50
loop_
_atom_site_label
_atom_site_fract_x
_atom_site_fract_y
_atom_site_fract_z
_atom_site_occupancy
Ac1 0.0454 0.9546 0.1752 1
Ac2 0.0748 0.4252 0.2046 1
Ac3 0.1484 0.5241 0.7422 1
Ac4 0.4252 0.0748 0.2954 1
Ac5 0.5078 0.6647 0.1016 1
Ac6 0.5241 0.1484 0.5853 1
Ac7 0.6647 0.5078 0.7259 1
Ac8 0.9546 0.0454 0.8248 1
Cd1 0.6593 0.6593 0.3407 1
Cd2 0.9093 0.9093 0.5907 1
Rh1 0.1710 0.4008 0.4675 1
Rh2 0.2893 0.7825 0.8492 1
Rh3 0.4008 0.1710 0.9607 1
Rh4 0.7825 0.2893 0.0790 1
```

The 10 most intense peaks (10 to 80 degrees two-theta), in order of rising 2θ:
2θ (°)	I_rel
26.4	53
27.9	34
29.2	100
29.9	87
30.2	54
32.6	65
35.9	41
42.7	22
48.0	21
49.3	23

# 5
# AcCd10Rh2
Calculated powder diffractogram, copper Kα. Input: a structure optimized by DFT (GGA-PBE).
Lines closer than 0.1° are merged.

Crystal structure
```
data_AcCd10Rh2
_chemical_formula_sum 'Ac1 Cd10 Rh2'
_space_group_name_H-M_alt 'P 1'
_space_group_IT_number 1
_space_group_name_Hall 'P 1'
_cell_length_a 9.9557
_cell_length_b 7.6226
_cell_length_c 7.6058
_cell_angle_alpha 81.65
_cell_angle_beta 49.25
_cell_angle_gamma 49.10
loop_
_atom_site_label
_atom_site_fract_x
_atom_site_fract_y
_atom_site_fract_z
_atom_site_occupancy
Ac1 0.0000 0.0000 0.0000 1
Cd1 0.0000 0.5000 0.0000 1
Cd2 0.0198 0.6544 0.3456 1
Cd3 0.2817 0.5096 0.4904 1
Cd4 0.3456 0.9802 0.0198 1
Cd5 0.4904 0.7183 0.2817 1
Cd6 0.5000 0.0000 0.5000 1
Cd7 0.5096 0.2817 0.7183 1
Cd8 0.6544 0.0198 0.9802 1
Cd9 0.7183 0.4904 0.5096 1
Cd10 0.9802 0.3456 0.6544 1
Rh1 0.0000 0.0000 0.5000 1
Rh2 0.5000 0.5000 0.0000 1
```

The 10 most intense peaks (10 to 80 degrees two-theta), in order of rising 2θ:
2θ (°)	I_rel
25.2	16
30.8	19
31.0	48
35.8	69
36.0	100
36.1	59
40.3	48
40.5	23
58.2	24
64.7	38

# 6
# Ac2TlCdRh
Calculated powder diffractogram, copper Kα. Input: a structure optimized by DFT (GGA-PBE).
Lines closer than 0.1° are merged.

Crystal structure
```
data_Ac2TlCdRh
_chemical_formula_sum 'Ac4 Tl2 Cd2 Rh2'
_space_group_name_H-M_alt 'P 1'
_space_group_IT_number 1
_space_group_name_Hall 'P 1'
_cell_length_a 8.6293
_cell_length_b 4.3259
_cell_length_c 8.7127
_cell_angle_alpha 90.00
_cell_angle_beta 111.53
_cell_angle_gamma 90.00
loop_
_atom_site_label
_atom_site_fract_x
_atom_site_fract_y
_atom_site_fract_z
_atom_site_occupancy
Ac1 0.1074 0.2500 0.3402 1
Ac2 0.2808 0.2500 0.9891 1
Ac3 0.7192 0.7500 0.0109 1
Ac4 0.8926 0.7500 0.6598 1
Tl1 0.3136 0.7500 0.6799 1
Tl2 0.6864 0.2500 0.3201 1
Cd1 0.4371 0.7500 0.3508 1
Cd2 0.5629 0.2500 0.6492 1
Rh1 0.1130 0.7500 0.1028 1
Rh2 0.8870 0.2500 0.8972 1
```

The 10 most intense peaks (10 to 80 degrees two-theta), in order of rising 2θ:
2θ (°)	I_rel
27.6	38
28.2	51
29.3	100
30.2	45
32.4	61
33.2	61
35.1	62
37.6	52
41.8	52
54.3	32

# 7
# Ac4CdRu2
Calculated powder diffractogram, copper Kα. Input: a structure optimized by DFT (GGA-PBE).
Lines closer than 0.1° are merged.

Crystal structure
```
data_Ac4CdRu2
_chemical_formula_sum 'Ac8 Cd2 Ru4'
_space_group_name_H-M_alt 'P 1'
_space_group_IT_number 1
_space_group_name_Hall 'P 1'
_cell_length_a 7.7395
_cell_length_b 7.9444
_cell_length_c 8.4873
_cell_angle_alpha 105.23
_cell_angle_beta 105.95
_cell_angle_gamma 95.04
loop_
_atom_site_label
_atom_site_fract_x
_atom_site_fract_y
_atom_site_fract_z
_atom_site_occupancy
Ac1 0.0000 0.0000 0.0000 1
Ac2 0.0016 0.9945 0.5140 1
Ac3 0.4921 0.6803 0.2989 1
Ac4 0.4970 0.6754 0.8044 1
Ac5 0.5501 0.1368 0.6682 1
Ac6 0.5542 0.1424 0.1995 1
Ac7 0.9511 0.5283 0.6328 1
Ac8 0.9550 0.5637 0.1376 1
Cd1 0.2120 0.3222 0.3867 1
Cd2 0.2574 0.3344 0.9094 1
Ru1 0.2397 0.9538 0.3081 1
Ru2 0.5837 0.4251 0.5174 1
Ru3 0.7552 0.8409 0.1539 1
Ru4 0.7585 0.8232 0.6565 1
```

The 10 most intense peaks (10 to 80 degrees two-theta), in order of rising 2θ:
2θ (°)	I_rel
24.3	33
24.6	24
27.4	46
27.5	45
28.4	35
29.1	100
30.9	34
39.1	42
42.6	34
49.1	25

# 8
# Ac5Cd2Ru
Calculated powder diffractogram, copper Kα. Input: a structure optimized by DFT (GGA-PBE).
Lines closer than 0.1° are merged.

Crystal structure
```
data_Ac5Cd2Ru
_chemical_formula_sum 'Ac10 Cd4 Ru2'
_space_group_name_H-M_alt 'P 1'
_space_group_IT_number 1
_space_group_name_Hall 'P 1'
_cell_length_a 10.2762
_cell_length_b 13.3012
_cell_length_c 4.3102
_cell_angle_alpha 90.00
_cell_angle_beta 90.00
_cell_angle_gamma 90.00
loop_
_atom_site_label
_atom_site_fract_x
_atom_site_fract_y
_atom_site_fract_z
_atom_site_occupancy
Ac1 0.0000 0.0000 0.0000 1
Ac2 0.1205 0.2998 0.0000 1
Ac3 0.1764 0.5638 0.5000 1
Ac4 0.3236 0.0638 0.5000 1
Ac5 0.3795 0.7998 0.0000 1
Ac6 0.5000 0.5000 0.0000 1
Ac7 0.6205 0.2002 0.0000 1
Ac8 0.6764 0.9362 0.5000 1
Ac9 0.8236 0.4362 0.5000 1
Ac10 0.8795 0.7002 0.0000 1
Cd1 0.1047 0.8234 0.5000 1
Cd2 0.3953 0.3234 0.5000 1
Cd3 0.6047 0.6766 0.5000 1
Cd4 0.8953 0.1766 0.5000 1
Ru1 0.0000 0.5000 0.0000 1
Ru2 0.5000 0.0000 0.0000 1
```

The 10 most intense peaks (10 to 80 degrees two-theta), in order of rising 2θ:
2θ (°)	I_rel
26.1	25
26.6	29
26.9	37
27.0	29
27.8	100
28.2	56
30.2	94
41.9	30
43.2	23
51.3	22

# 9
# Ac5Cd2Ru2
Calculated powder diffractogram, copper Kα. Input: a structure optimized by DFT (GGA-PBE).
Lines closer than 0.1° are merged.

Crystal structure
```
data_Ac5Cd2Ru2
_chemical_formula_sum 'Ac5 Cd2 Ru2'
_space_group_name_H-M_alt 'P 1'
_space_group_IT_number 1
_space_group_name_Hall 'P 1'
_cell_length_a 9.3710
_cell_length_b 9.3710
_cell_length_c 5.9462
_cell_angle_alpha 98.03
_cell_angle_beta 98.03
_cell_angle_gamma 36.15
loop_
_atom_site_label
_atom_site_fract_x
_atom_site_fract_y
_atom_site_fract_z
_atom_site_occupancy
Ac1 0.0000 0.0000 0.0000 1
Ac2 0.1645 0.1645 0.5056 1
Ac3 0.3357 0.3357 0.0443 1
Ac4 0.6643 0.6643 0.9557 1
Ac5 0.8355 0.8355 0.4944 1
Cd1 0.4422 0.4422 0.6307 1
Cd2 0.5578 0.5578 0.3693 1
Ru1 0.1576 0.1576 0.0166 1
Ru2 0.8424 0.8424 0.9834 1
```

The 10 most intense peaks (10 to 80 degrees two-theta), in order of rising 2θ:
2θ (°)	I_rel
25.0	70
27.6	100
30.4	93
30.7	76
33.9	26
43.8	70
46.8	20
51.3	28
57.1	23
75.4	21

# 10
# AcSmCdRu
Calculated powder diffractogram, copper Kα. Input: a structure optimized by DFT (GGA-PBE).
Lines closer than 0.1° are merged.

Crystal structure
```
data_AcSmCdRu
_chemical_formula_sum 'Ac4 Sm4 Cd4 Ru4'
_space_group_name_H-M_alt 'P 1'
_space_group_IT_number 1
_space_group_name_Hall 'P 1'
_cell_length_a 7.5080
_cell_length_b 7.5080
_cell_length_c 7.5080
_cell_angle_alpha 90.00
_cell_angle_beta 90.00
_cell_angle_gamma 90.00
loop_
_atom_site_label
_atom_site_fract_x
_atom_site_fract_y
_atom_site_fract_z
_atom_site_occupancy
Ac1 0.0000 0.0000 0.0000 1
Ac2 0.0000 0.5000 0.5000 1
Ac3 0.5000 0.0000 0.5000 1
Ac4 0.5000 0.5000 0.0000 1
Sm1 0.0000 0.0000 0.5000 1
Sm2 0.0000 0.5000 0.0000 1
Sm3 0.5000 0.0000 0.0000 1
Sm4 0.5000 0.5000 0.5000 1
Cd1 0.2500 0.2500 0.2500 1
Cd2 0.2500 0.7500 0.7500 1
Cd3 0.7500 0.2500 0.7500 1
Cd4 0.7500 0.7500 0.2500 1
Ru1 0.2500 0.2500 0.7500 1
Ru2 0.2500 0.7500 0.2500 1
Ru3 0.7500 0.2500 0.2500 1
Ru4 0.7500 0.7500 0.7500 1
```

The 10 most intense peaks (10 to 80 degrees two-theta), in order of rising 2θ:
2θ (°)	I_rel
20.5	3
23.7	8
33.8	100
39.8	2
41.7	3
48.5	18
54.7	4
60.4	37
71.0	12
76.1	2